1.
The following is a theoretical PXRD pattern of KTaP2O8. It was derived from the GGA-PBE geometry in the Materials Project, using Cu Kα (λ = 1.5418 Å).
Lines closer than 0.1° are merged.

Peak list (10 most intense, 10° ≤ 2θ ≤ 90°, sorted by position)
2θ (°)  intensity  (hkl)
10.69  100  0 0 1
19.71  34  1 1 0
20.86  28  2 0 0
21.47  12  0 0 2
22.11  50  1 1 -1
24.17  26  2 0 1
28.74  42  1 1 -2
29.86  27  1 1 2
33.79  14  0 2 0
35.87  23  3 1 0

Structure:
abc: 8.5404 5.3061 8.2981
angles: 90.00 94.07 90.00
Space group C2/m (No. 12)
Inequivalent atoms, fractional coordinates:
K1 0.0000 0.0000 0.0000 (multiplicity 2)
Ta1 0.0000 0.0000 0.5000 (multiplicity 2)
P1 0.1358 0.5000 0.2944 (multiplicity 4)
O1 0.0347 0.2636 0.3349 (multiplicity 8)
O2 0.1827 0.5000 0.1255 (multiplicity 4)
O3 0.2227 0.0000 0.5727 (multiplicity 4)

=====

2.
The following is a theoretical PXRD pattern of MgNbCu3S4. It was derived from the GGA-PBE geometry in the Materials Project, using Cu Kα (λ = 1.5418 Å).
Lines closer than 0.1° are merged.

Peak list (10 most intense, 10° ≤ 2θ ≤ 90°, sorted by position)
2θ (°)  intensity  (hkl)
15.02  88  1 0 0
16.54  74  0 0 1
27.10  55  1 1 1
30.31  30  2 0 0
33.99  21  2 1 0
34.73  34  2 0 1
43.40  59  2 2 0
45.76  100  2 0 2
46.75  19  2 2 1
81.33  34  4 2 2

Structure:
abc: 5.8970 5.8970 5.3586
angles: 90.00 90.00 90.00
Space group P-42m (No. 111)
Inequivalent atoms, fractional coordinates:
Mg1 0.0000 0.0000 0.0000 (multiplicity 1)
Nb1 0.5000 0.5000 0.0000 (multiplicity 1)
Cu1 0.0000 0.5000 0.0000 (multiplicity 2)
Cu2 0.5000 0.5000 0.5000 (multiplicity 1)
S1 0.2550 0.2550 0.7661 (multiplicity 4)